Entry 1:
Starting from a structure optimized by DFT (GGA-PBE), the XRD peak list of HoCd2Au3 was calculated for Cu Ka.
Lines closer than 0.1° are merged.

Most intense lines, 10° ≤ 2θ ≤ 90°, by angle:
two_theta	I_rel
25.8	10
36.4	100
37.1	96
53.0	34
64.9	17
66.4	34
66.9	17
77.2	10
79.1	11
89.0	15

Structure:
```
HoCd2Au3
1.0
4.8421 0.0000 0.0000
-2.4211 4.1934 0.0000
0.0000 0.0000 12.2286
Ho Cd Au
2 4 6
Direct
0.3333 0.6667 0.1700
0.6667 0.3333 0.8300
0.0000 0.0000 0.0000
0.0000 0.0000 0.5000
0.3333 0.6667 0.6658
0.6667 0.3333 0.3342
0.0000 0.0000 0.2616
0.0000 0.0000 0.7384
0.3333 0.6667 0.4170
0.3333 0.6667 0.9229
0.6667 0.3333 0.0771
0.6667 0.3333 0.5830
```


Entry 2:
Starting from a structure optimized by DFT (GGA-PBE), the XRD peak list of La5Te4Pd was calculated for Cu Ka.
Lines closer than 0.1° are merged.

Most intense lines, 10° ≤ 2θ ≤ 90°, by angle:
two_theta	I_rel
27.7	100
28.0	45
39.6	38
39.8	70
49.2	38
57.2	13
64.8	18
64.9	16
65.4	13
72.0	24

Structure:
```
La5Te4Pd
1.0
-2.2761 2.2761 15.9290
2.2761 -2.2761 15.9290
2.2761 2.2761 -15.9290
La Te Pd
5 4 1
Direct
0.0000 0.0000 0.0000
0.2028 0.2028 0.0000
0.4077 0.4077 0.0000
0.5923 0.5923 0.0000
0.7972 0.7972 0.0000
0.1012 0.1012 0.0000
0.3049 0.3049 0.0000
0.6951 0.6951 0.0000
0.8988 0.8988 0.0000
0.5000 0.5000 0.0000
```


Entry 3:
Starting from a structure optimized by DFT (GGA-PBE), the XRD peak list of ZrSO6 was calculated for Cu Ka.
Lines closer than 0.1° are merged.

Most intense lines, 10° ≤ 2θ ≤ 90°, by angle:
two_theta	I_rel
15.3	51
20.0	98
20.1	79
21.5	100
25.4	40
26.5	25
31.1	43
34.0	26
34.8	33
51.4	29

Structure:
```
ZrSO6
1.0
11.5548 0.0000 0.0000
0.0000 5.7253 0.0000
0.0000 0.0000 6.9438
Zr S O
4 4 24
Direct
0.0704 0.2500 0.1674
0.4296 0.7500 0.6674
0.5704 0.2500 0.3326
0.9296 0.7500 0.8326
0.1450 0.7500 0.4561
0.3550 0.2500 0.9561
0.6450 0.7500 0.0439
0.8550 0.2500 0.5439
0.0400 0.7500 0.5776
0.0532 0.0004 0.9359
0.0532 0.4996 0.9359
0.1468 0.5388 0.3333
0.1468 0.9612 0.3333
0.2483 0.7500 0.5801
0.2517 0.2500 0.0801
0.3532 0.0388 0.8333
0.3532 0.4612 0.8333
0.4468 0.9996 0.4359
0.4468 0.5004 0.4359
0.4600 0.2500 0.0776
0.5400 0.7500 0.9224
0.5532 0.0004 0.5641
0.5532 0.4996 0.5641
0.6468 0.5388 0.1667
0.6468 0.9612 0.1667
0.7483 0.7500 0.9199
0.7517 0.2500 0.4199
0.8532 0.0388 0.6667
0.8532 0.4612 0.6667
0.9468 0.9996 0.0641
0.9468 0.5004 0.0641
0.9600 0.2500 0.4224
```


Entry 4:
Starting from a structure optimized by DFT (GGA-PBE), the XRD peak list of CoSN3 was calculated for Cu Ka.
Lines closer than 0.1° are merged.

Most intense lines, 10° ≤ 2θ ≤ 90°, by angle:
two_theta	I_rel
24.3	35
34.7	100
49.8	42
56.2	12
62.1	34
73.2	23
78.4	4
83.6	15

Structure:
```
CoSN3
1.0
3.6589 0.0000 0.0000
0.0000 3.6589 0.0000
0.0000 0.0000 3.6589
Co S N
1 1 3
Direct
0.0000 0.0000 0.0000
0.5000 0.5000 0.5000
0.0000 0.0000 0.5000
0.0000 0.5000 0.0000
0.5000 0.0000 0.0000
```


Entry 5:
Starting from a structure optimized by DFT (GGA-PBE), the XRD peak list of Mn3Se4Cl2 was calculated for Cu Ka.
Lines closer than 0.1° are merged.

Most intense lines, 10° ≤ 2θ ≤ 90°, by angle:
two_theta	I_rel
12.7	100
30.0	65
32.7	15
34.7	18
37.1	35
39.8	36
42.9	38
46.3	26
53.3	34
78.2	13

Structure:
```
Mn3Se4Cl2
1.0
3.4382 0.0000 0.0000
-1.7191 2.9776 0.0000
0.0000 0.0000 20.8828
Mn Se Cl
3 4 2
Direct
0.0000 0.0000 0.0000
0.3333 0.6667 0.3333
0.3333 0.6667 0.6667
0.0000 0.0000 0.2616
0.0000 0.0000 0.4050
0.0000 0.0000 0.5950
0.0000 0.0000 0.7384
0.3333 0.6667 0.0758
0.3333 0.6667 0.9242
```


What is the formula in the first record?
HoCd2Au3